Mg16Al12Ge: computed X-ray powder pattern (Cu Kα (weighted mean of Kα1 and Kα2)), based on the GGA-PBE geometry in Alexandria.
Peak positions follow from Bragg's law for the DFT cell and can differ from measured ones.

Principal peaks in the range 2θ from 5° to 70°, in order of rising 2θ:
- d 7.430, rel. 130
- d 2.808, rel. 86
- d 2.627, rel. 45
- d 2.477, rel. 1000
- d 2.240, rel. 253
- d 2.145, rel. 132
- d 2.061, rel. 110
- d 1.918, rel. 52
- d 1.517, rel. 47
- d 1.486, rel. 113
- d 1.430, rel. 258
- d 1.404, rel. 45

Unit cell a=9.100 b=9.100 c=9.100 alpha=109.47 beta=109.47 gamma=109.47
Sites, in units of the cell vectors:
Mg 0.000 0.000 0.337
Mg 0.000 0.315 0.598
Mg 0.000 0.337 0.000
Mg 0.000 0.598 0.315
Mg 0.284 0.685 0.685
Mg 0.315 0.000 0.598
Mg 0.315 0.598 0.000
Mg 0.337 0.000 0.000
Mg 0.402 0.402 0.716
Mg 0.402 0.716 0.402
Mg 0.598 0.000 0.315
Mg 0.598 0.315 0.000
Mg 0.663 0.663 0.663
Mg 0.685 0.284 0.685
Mg 0.685 0.685 0.284
Mg 0.716 0.402 0.402
Al 0.000 0.630 0.813
Al 0.000 0.813 0.630
Al 0.183 0.370 0.370
Al 0.187 0.187 0.817
Al 0.187 0.817 0.187
Al 0.370 0.183 0.370
Al 0.370 0.370 0.183
Al 0.630 0.000 0.813
Al 0.630 0.813 0.000
Al 0.813 0.000 0.630
Al 0.813 0.630 0.000
Al 0.817 0.187 0.187
Ge 0.000 0.000 0.000



NdMg2AlGe2: computed X-ray powder pattern (Cu Kα (weighted mean of Kα1 and Kα2)), based on the GGA-PBE geometry in Alexandria.
Peak positions follow from Bragg's law for the DFT cell and can differ from measured ones.

Principal peaks in the range 2θ from 5° to 70°, in order of rising 2θ:
- d 8.556, rel. 675
- d 4.219, rel. 194
- d 3.669, rel. 358
- d 3.343, rel. 355
- d 3.294, rel. 212
- d 2.769, rel. 645
- d 2.648, rel. 251
- d 2.596, rel. 1000
- d 2.243, rel. 424
- d 2.109, rel. 314
- d 2.079, rel. 299
- d 1.481, rel. 199

Unit cell a=4.219 b=8.556 c=7.137 alpha=90.00 beta=90.00 gamma=90.00
Sites, in units of the cell vectors:
Nd 0.000 0.081 0.000
Nd 0.000 0.919 0.500
Mg 0.000 0.320 0.395
Mg 0.000 0.680 0.895
Mg 0.500 0.423 0.070
Mg 0.500 0.577 0.570
Al 0.500 0.198 0.679
Al 0.500 0.802 0.179
Ge 0.000 0.378 0.773
Ge 0.000 0.622 0.273
Ge 0.500 0.126 0.307
Ge 0.500 0.874 0.807